Entry 1:
Starting from a structure optimized by DFT (GGA+U), the XRD peak list of K2RbTmV2O8 was simulated for Cu Kα (λ = 1.5418 Å).
No peak broadening, texture or thermal motion is included.

Atomic structure:
Cell: 5.972 5.972 7.812 Å, 90.00 90.00 120.00°
Fractional positions:
K 0.333 0.667 0.203
K 0.667 0.333 0.797
Rb 0.000 0.000 0.500
Tm 0.000 0.000 0.000
V 0.333 0.667 0.754
V 0.667 0.333 0.246
O 0.173 0.345 0.830
O 0.173 0.827 0.830
O 0.333 0.667 0.538
O 0.345 0.173 0.170
O 0.655 0.827 0.830
O 0.667 0.333 0.462
O 0.827 0.173 0.170
O 0.827 0.655 0.170

The 8 most intense peaks (2θ from 15° to 90°), by angle:
two_theta, I_rel
17.14, 40
20.59, 25
28.64, 100
29.92, 85
41.90, 47
52.33, 35
53.12, 16
56.29, 24

---

Entry 2:
Starting from a structure optimized by DFT (GGA+U), the XRD peak list of MgFe2O5 was simulated for Cu Kα (λ = 1.5418 Å).
No peak broadening, texture or thermal motion is included.

Atomic structure:
Cell: 5.604 5.604 7.127 Å, 107.64 107.64 54.87°
Fractional positions:
Mg 0.000 0.000 0.000
Mg 0.000 0.000 0.500
Fe 0.369 0.374 0.783
Fe 0.374 0.369 0.283
Fe 0.626 0.631 0.717
Fe 0.631 0.626 0.217
O 0.018 0.369 0.664
O 0.218 0.782 0.750
O 0.263 0.565 0.055
O 0.369 0.018 0.164
O 0.435 0.737 0.445
O 0.565 0.263 0.555
O 0.631 0.982 0.836
O 0.737 0.435 0.945
O 0.782 0.218 0.250
O 0.982 0.631 0.336

The 8 most intense peaks (2θ from 15° to 90°), by angle:
two_theta, I_rel
19.64, 100
26.61, 45
26.94, 42
30.48, 34
33.59, 69
35.91, 48
53.00, 42
55.61, 40

---

Entry 3:
Starting from a structure optimized by DFT (GGA+U), the XRD peak list of Li9Mn2Co5O16 was simulated for Cu Kα (λ = 1.5418 Å).
No peak broadening, texture or thermal motion is included.

Atomic structure:
Cell: 2.947 10.187 10.239 Å, 108.72 91.37 92.60°
Fractional positions:
Li 0.000 0.000 0.000
Li 0.001 0.997 0.498
Li 0.006 0.498 0.986
Li 0.012 0.492 0.499
Li 0.490 0.501 0.756
Li 0.494 0.245 0.501
Li 0.499 0.749 0.498
Li 0.505 0.246 0.992
Li 0.517 0.737 0.990
Mn 0.003 0.247 0.247
Mn 0.011 0.741 0.747
Co 0.004 0.746 0.246
Co 0.502 0.498 0.249
Co 0.506 0.994 0.243
Co 0.514 0.997 0.743
Co 0.999 0.254 0.744
O 0.000 0.636 0.863
O 0.004 0.352 0.633
O 0.014 0.376 0.135
O 0.016 0.879 0.132
O 0.045 0.873 0.634
O 0.465 0.369 0.369
O 0.468 0.359 0.862
O 0.488 0.638 0.637
O 0.494 0.865 0.361
O 0.514 0.628 0.132
O 0.522 0.122 0.635
O 0.533 0.865 0.851
O 0.540 0.123 0.125
O 0.976 0.122 0.852
O 0.989 0.615 0.362
O 0.993 0.116 0.359

The 8 most intense peaks (2θ from 15° to 90°), by angle:
two_theta, I_rel
18.31, 100
34.83, 17
35.89, 13
36.68, 11
41.92, 32
43.62, 27
44.63, 26
47.26, 10

---

Entry 4:
Starting from a structure optimized by DFT (GGA+U), the XRD peak list of Al3Tl4FeAs8O28 was simulated for Cu Kα (λ = 1.5418 Å).
No peak broadening, texture or thermal motion is included.

Atomic structure:
Cell: 6.408 6.485 16.410 Å, 100.69 93.21 102.99°
Fractional positions:
Al 0.000 0.000 0.000
Al 0.021 0.640 0.270
Al 0.499 0.499 0.498
Tl 0.010 0.319 0.635
Tl 0.260 0.569 0.885
Tl 0.510 0.819 0.135
Tl 0.761 0.070 0.384
Fe 0.521 0.142 0.771
As 0.031 0.634 0.477
As 0.082 0.144 0.217
As 0.439 0.995 0.550
As 0.489 0.505 0.292
As 0.532 0.136 0.981
As 0.582 0.645 0.715
As 0.940 0.497 0.053
As 0.989 0.003 0.792
O 0.033 0.918 0.882
O 0.047 0.303 0.997
O 0.061 0.588 0.152
O 0.066 0.945 0.272
O 0.158 0.876 0.555
O 0.190 0.455 0.477
O 0.206 0.107 0.744
O 0.305 0.028 0.023
O 0.330 0.685 0.292
O 0.363 0.264 0.214
O 0.453 0.194 0.495
O 0.461 0.553 0.616
O 0.467 0.828 0.773
O 0.484 0.227 0.894
O 0.532 0.421 0.381
O 0.546 0.801 0.494
O 0.569 0.086 0.647
O 0.572 0.455 0.773
O 0.659 0.377 0.058
O 0.691 0.956 0.978
O 0.715 0.609 0.248
O 0.806 0.531 0.521
O 0.841 0.192 0.796
O 0.863 0.766 0.713
O 0.955 0.695 0.998
O 0.960 0.053 0.118
O 0.974 0.337 0.273
O 0.990 0.719 0.388

The 8 most intense peaks (2θ from 15° to 90°), by angle:
two_theta, I_rel
17.64, 37
23.03, 40
27.10, 82
28.62, 77
28.70, 100
29.46, 40
30.02, 40
35.85, 49

---

Entry 5:
Starting from a structure optimized by DFT (GGA+U), the XRD peak list of Li9Mn2Co5O16 was simulated for Cu Kα (λ = 1.5418 Å).
No peak broadening, texture or thermal motion is included.

Atomic structure:
Cell: 5.816 5.816 9.755 Å, 98.72 98.72 60.22°
Fractional positions:
Li 0.000 0.000 0.000
Li 0.123 0.121 0.758
Li 0.126 0.632 0.753
Li 0.368 0.874 0.247
Li 0.374 0.374 0.244
Li 0.626 0.626 0.756
Li 0.632 0.124 0.753
Li 0.876 0.368 0.247
Li 0.879 0.877 0.242
Mn 0.500 0.500 0.000
Mn 0.750 0.250 0.500
Co 0.000 0.500 0.000
Co 0.251 0.249 0.501
Co 0.251 0.749 0.500
Co 0.500 0.000 0.000
Co 0.751 0.749 0.499
O 0.048 0.074 0.382
O 0.056 0.555 0.384
O 0.195 0.666 0.110
O 0.198 0.196 0.103
O 0.322 0.324 0.883
O 0.334 0.805 0.890
O 0.445 0.944 0.616
O 0.456 0.423 0.616
O 0.572 0.070 0.384
O 0.577 0.544 0.384
O 0.666 0.193 0.108
O 0.676 0.678 0.117
O 0.804 0.802 0.897
O 0.807 0.334 0.892
O 0.926 0.952 0.618
O 0.930 0.428 0.616

The 8 most intense peaks (2θ from 15° to 90°), by angle:
two_theta, I_rel
18.48, 100
36.12, 27
36.27, 13
37.81, 11
43.76, 55
43.97, 27
63.48, 22
64.04, 15

---

Entry 6:
Starting from a structure optimized by DFT (GGA+U), the XRD peak list of Li4Fe5Co2O12 was simulated for Cu Kα (λ = 1.5418 Å).
No peak broadening, texture or thermal motion is included.

Atomic structure:
Cell: 5.228 8.916 9.811 Å, 90.00 99.28 90.00°
Fractional positions:
Li 0.002 0.000 0.256
Li 0.013 0.327 0.258
Li 0.261 0.494 0.497
Li 0.483 0.313 0.747
Li 0.517 0.813 0.253
Li 0.739 0.994 0.503
Li 0.987 0.827 0.742
Li 0.998 0.500 0.744
Fe 0.010 0.654 0.259
Fe 0.244 0.329 0.003
Fe 0.251 0.832 0.503
Fe 0.259 0.989 0.997
Fe 0.497 0.662 0.743
Fe 0.503 0.162 0.257
Fe 0.741 0.489 0.003
Fe 0.749 0.332 0.497
Fe 0.756 0.829 0.997
Fe 0.990 0.154 0.741
Co 0.255 0.158 0.506
Co 0.256 0.656 0.007
Co 0.744 0.156 0.993
Co 0.745 0.658 0.494
O 0.096 0.490 0.119
O 0.112 0.827 0.120
O 0.115 0.007 0.609
O 0.118 0.311 0.618
O 0.148 0.158 0.124
O 0.151 0.674 0.634
O 0.346 0.163 0.880
O 0.352 0.678 0.373
O 0.364 0.007 0.386
O 0.374 0.306 0.390
O 0.387 0.491 0.879
O 0.393 0.819 0.887
O 0.607 0.319 0.113
O 0.613 0.991 0.121
O 0.626 0.806 0.610
O 0.636 0.507 0.614
O 0.648 0.178 0.627
O 0.654 0.663 0.120
O 0.849 0.174 0.366
O 0.852 0.658 0.876
O 0.882 0.811 0.382
O 0.885 0.507 0.391
O 0.888 0.327 0.880
O 0.904 0.990 0.881

The 8 most intense peaks (2θ from 15° to 90°), by angle:
two_theta, I_rel
18.33, 45
19.91, 33
23.07, 39
36.80, 38
42.27, 53
43.14, 100
61.71, 29
62.26, 27

---

> What is the formula in the fourth record?

Al3Tl4FeAs8O28